Simulated XRD peak list of CuAg8 for Cu Kα, from a DFT-relaxed cell (PBE, OQMD).
No peak broadening, texture or thermal motion is included.

Top 8 peaks for 15° ≤ 2θ ≤ 90°, low angle first:
| d_spacing | Rel. int. | hkl |
| --- | --- | --- |
| 2.373 | 1000 | 3 1 1 |
| 2.059 | 161 | 0 0 3 |
| 2.053 | 320 | 0 2 0 |
| 1.454 | 197 | 0 2 3 |
| 1.452 | 98 | 6 2 -1 |
| 1.241 | 114 | 3 1 4 |
| 1.238 | 228 | 3 3 1 |
| 1.186 | 99 | 6 2 2 |

Cell and atoms:
```
data_CuAg8
_chemical_formula_sum 'Cu2 Ag16'
_space_group_name_H-M_alt 'C 1 2/m 1'
_space_group_IT_number 12
_cell_length_a 12.322
_cell_length_b 4.104
_cell_length_c 6.508
_cell_angle_alpha 90.00
_cell_angle_beta 108.35
_cell_angle_gamma 90.00
loop_
_space_group_symop_operation_xyz
'x,y,z'
'-x,-y,-z'
'-x,y,-z'
'x,-y,z'
'x+1/2,y+1/2,z'
'-x+1/2,-y+1/2,-z'
'-x+1/2,y+1/2,-z'
'x+1/2,-y+1/2,z'
loop_
_atom_site_label
_atom_site_fract_x
_atom_site_fract_y
_atom_site_fract_z
Cu1 0.000 0.000 0.000
Ag1 0.054 0.500 0.326
Ag2 0.110 0.000 0.671
Ag3 0.163 0.500 0.000
Ag4 0.220 0.000 0.329
```